Theoretical powder diffraction line list
Compound: AcDy2HoEr4
Radiation: λ = 1.5418 Å (Cu Kα)
Structure: the GGA-PBE geometry in Alexandria

Cell lengths 5.0528, 5.0757, 10.0852 Å; angles 90.00, 90.00, 90.00 degrees
Space group Pmmm (No. 47)
One atom of each set of equivalent atoms:
Ac: 0.0000 0.0000 0.0000 [1 per cell]
Dy: 0.0000 0.0000 0.5000 [1 per cell]
Dy: 0.5000 0.5000 0.0000 [1 per cell]
Ho: 0.5000 0.5000 0.5000 [1 per cell]
Er: 0.0000 0.5000 0.2587 [2 per cell]
Er: 0.5000 0.0000 0.2589 [2 per cell]

The 10 most intense peaks (10 to 90 degrees two-theta), in order of rising 2θ:
2θ/deg	d/Å	I (rel.)	index
30.62	2.920	1000	1 1 2
35.37	2.538	172	0 2 0
35.57	2.524	335	2 0 0
51.03	1.790	242	2 2 0
51.19	1.785	119	2 0 4
60.56	1.529	146	1 3 2
60.83	1.523	281	3 1 2
63.75	1.460	123	2 2 4
83.21	1.161	118	3 3 2
83.45	1.158	57	3 1 6

=====

Theoretical powder diffraction line list
Compound: AcDy5Ho2Er
Radiation: λ = 1.5418 Å (Cu Kα)
Structure: the GGA-PBE geometry in Alexandria

Cell lengths 9.0537, 9.0537, 14.7700 Å; angles 90.00, 90.00, 90.00 degrees
Space group I4/mcm (No. 140)
One atom of each set of equivalent atoms:
Ac: 0.0000 0.0000 0.2500 [4 per cell]
Dy: 0.0000 0.0000 0.0000 [4 per cell]
Dy: 0.2018 0.2982 0.1257 [16 per cell]
Ho: 0.1117 0.3883 0.5000 [8 per cell]
Er: 0.0000 0.5000 0.2500 [4 per cell]

The 10 most intense peaks (10 to 90 degrees two-theta), in order of rising 2θ:
2θ/deg	d/Å	I (rel.)	index
27.87	3.201	439	2 2 0
28.54	3.127	350	2 1 3
31.26	2.862	1000	2 0 4
36.29	2.476	168	3 2 1
37.69	2.386	161	2 1 5
41.58	2.172	136	4 1 1
49.35	1.847	160	0 0 8
51.48	1.775	164	4 2 4
57.62	1.600	262	2 2 8
80.91	1.188	124	2 0 12

=====

Theoretical powder diffraction line list
Compound: AcLaDy2Er
Radiation: λ = 1.5418 Å (Cu Kα)
Structure: the GGA-PBE geometry in Alexandria

Cell lengths 6.3999, 5.8865, 9.8371 Å; angles 90.00, 108.95, 90.00 degrees
Space group P2_1/m (No. 11)
One atom of each set of equivalent atoms:
Ac: 0.2320 0.2500 0.3032 [2 per cell]
La: 0.0458 0.2500 0.9034 [2 per cell]
Dy: 0.3669 0.7500 0.9023 [2 per cell]
Dy: 0.4274 0.2500 0.7027 [2 per cell]
Er: 0.1643 0.7500 0.5020 [2 per cell]

The 10 most intense peaks (10 to 90 degrees two-theta), in order of rising 2θ:
2θ/deg	d/Å	I (rel.)	index
27.73	3.217	238	1 0 2
30.37	2.943	375	0 2 0
31.70	2.823	1000	1 1 -3
31.83	2.811	500	2 1 -1
41.59	2.172	162	1 2 2
49.23	1.851	196	3 0 1
54.83	1.674	324	1 3 -3
58.70	1.573	117	0 2 5
58.95	1.567	229	3 2 1
59.58	1.552	168	2 1 4

=====

Theoretical powder diffraction line list
Compound: AcLa5DyEr2
Radiation: λ = 1.5418 Å (Cu Kα)
Structure: the GGA-PBE geometry in Alexandria

Cell lengths 5.6304, 24.5612, 9.6118 Å; angles 90.00, 90.00, 90.00 degrees
Space group Cmc2_1 (No. 36)
One atom of each set of equivalent atoms:
Ac: 0.0000 0.1034 0.0000 [4 per cell]
La: 0.0000 0.0251 0.3316 [4 per cell]
La: 0.0000 0.1078 0.6065 [4 per cell]
La: 0.0000 0.1881 0.2998 [4 per cell]
La: 0.0000 0.2407 0.9282 [4 per cell]
La: 0.0000 0.4910 0.1174 [4 per cell]
Dy: 0.0000 0.2705 0.6056 [4 per cell]
Er: 0.0000 0.3255 0.2472 [4 per cell]
Er: 0.0000 0.3883 0.8652 [4 per cell]

The 10 most intense peaks (10 to 90 degrees two-theta), in order of rising 2θ:
2θ/deg	d/Å	I (rel.)	index
26.71	3.338	238	1 3 2
28.65	3.116	266	0 6 2
28.80	3.100	251	0 2 3
30.49	2.932	1000	1 5 2
31.45	2.844	975	1 7 1
31.79	2.815	676	2 0 0
32.36	2.767	640	1 1 3
55.82	1.647	183	3 5 2
56.42	1.631	218	3 7 1
57.00	1.616	201	3 1 3

=====

Theoretical powder diffraction line list
Compound: Ac2NdDyEr
Radiation: λ = 1.5418 Å (Cu Kα)
Structure: the GGA-PBE geometry in Alexandria

Cell lengths 6.4455, 9.0186, 6.6758 Å; angles 90.00, 90.00, 90.00 degrees
Space group Pmma (No. 51)
One atom of each set of equivalent atoms:
Ac: 0.2500 0.2028 0.2132 [4 per cell]
Nd: 0.2500 0.5000 0.9206 [2 per cell]
Dy: 0.2500 0.0000 0.6857 [2 per cell]
Er: 0.0000 0.5000 0.5000 [2 per cell]

The 10 most intense peaks (10 to 90 degrees two-theta), in order of rising 2θ:
2θ/deg	d/Å	I (rel.)	index
19.14	4.637	128	1 0 1
27.61	3.231	1000	2 0 0
28.51	3.130	248	0 1 2
31.78	2.816	148	1 1 2
32.41	2.763	171	2 1 1
33.40	2.683	158	0 2 2
35.59	2.522	213	1 3 1
38.84	2.318	175	2 0 2
43.33	2.088	137	2 3 1
48.90	1.863	170	3 2 1

=====

Theoretical powder diffraction line list
Compound: AcNd2DyEr
Radiation: λ = 1.5418 Å (Cu Kα)
Structure: the GGA-PBE geometry in Alexandria

Cell lengths 6.4487, 5.9052, 9.8645 Å; angles 90.00, 108.82, 90.00 degrees
Space group P2_1/m (No. 11)
One atom of each set of equivalent atoms:
Ac: 0.1368 0.2500 0.1054 [2 per cell]
Nd: 0.2667 0.7500 0.6995 [2 per cell]
Nd: 0.3382 0.2500 0.5025 [2 per cell]
Dy: 0.4765 0.7500 0.1047 [2 per cell]
Er: 0.0648 0.7500 0.3084 [2 per cell]

The 10 most intense peaks (10 to 90 degrees two-theta), in order of rising 2θ:
2θ/deg	d/Å	I (rel.)	index
27.54	3.238	116	1 0 2
27.66	3.225	238	1 0 -3
30.27	2.953	376	0 2 0
31.56	2.835	1000	1 1 2
31.62	2.830	506	2 1 -1
41.44	2.179	241	1 2 -3
54.60	1.681	325	2 3 -1
58.49	1.578	232	3 2 1
58.68	1.573	115	3 2 -4
59.42	1.556	167	2 1 -6

=====

Theoretical powder diffraction line list
Compound: AcPm6Dy2Er
Radiation: λ = 1.5418 Å (Cu Kα)
Structure: the GGA-PBE geometry in Alexandria

Cell lengths 9.3634, 15.4663, 9.6804 Å; angles 90.00, 95.54, 90.00 degrees
Space group C2/c (No. 15)
One atom of each set of equivalent atoms:
Ac: 0.0000 0.0270 0.2500 [4 per cell]
Pm: 0.0592 0.1863 0.9453 [8 per cell]
Pm: 0.1014 0.3902 0.1171 [8 per cell]
Pm: 0.2170 0.2261 0.3147 [8 per cell]
Dy: 0.2392 0.4442 0.4523 [8 per cell]
Er: 0.0000 0.4130 0.7500 [4 per cell]

The 10 most intense peaks (10 to 90 degrees two-theta), in order of rising 2θ:
2θ/deg	d/Å	I (rel.)	index
27.72	3.219	651	1 3 2
27.83	3.205	487	2 2 -2
29.92	2.986	773	3 1 -1
30.12	2.967	802	0 2 3
30.24	2.956	1000	2 2 2
30.45	2.936	683	1 5 0
30.90	2.894	575	2 4 -1
31.60	2.832	400	1 5 -1
33.49	2.676	603	1 3 -3
34.38	2.608	274	2 2 -3

=====

Theoretical powder diffraction line list
Compound: AcPm4Dy2Er
Radiation: λ = 1.5418 Å (Cu Kα)
Structure: the GGA-PBE geometry in Alexandria

Cell lengths 5.9611, 5.9611, 7.7745 Å; angles 90.00, 90.00, 90.00 degrees
Space group P4/mmm (No. 123)
One atom of each set of equivalent atoms:
Ac: 0.0000 0.0000 0.0000 [1 per cell]
Pm: 0.0000 0.5000 0.2709 [4 per cell]
Dy: 0.0000 0.0000 0.5000 [1 per cell]
Dy: 0.5000 0.5000 0.0000 [1 per cell]
Er: 0.5000 0.5000 0.5000 [1 per cell]

The 10 most intense peaks (10 to 90 degrees two-theta), in order of rising 2θ:
2θ/deg	d/Å	I (rel.)	index
29.98	2.981	577	2 0 0
31.30	2.858	1000	1 1 2
42.91	2.108	219	2 2 0
54.07	1.696	433	3 1 2
56.53	1.628	172	2 0 4
65.31	1.429	112	2 2 4
70.67	1.333	100	4 2 0
71.38	1.321	95	3 3 2
87.04	1.120	116	5 1 2
89.06	1.099	101	4 2 4

=====

Theoretical powder diffraction line list
Compound: AcPmDy3Er
Radiation: λ = 1.5418 Å (Cu Kα)
Structure: the GGA-PBE geometry in Alexandria

Cell lengths 19.3702, 5.6834, 7.6399 Å; angles 90.00, 91.41, 90.00 degrees
Space group C2/m (No. 12)
One atom of each set of equivalent atoms:
Ac: 0.1403 0.0000 0.0235 [4 per cell]
Pm: 0.0488 0.5000 0.2903 [4 per cell]
Dy: 0.0242 0.0000 0.7019 [4 per cell]
Dy: 0.1654 0.5000 0.7105 [4 per cell]
Dy: 0.2195 0.5000 0.2487 [4 per cell]
Er: 0.1541 0.0000 0.4504 [4 per cell]

The 10 most intense peaks (10 to 90 degrees two-theta), in order of rising 2θ:
2θ/deg	d/Å	I (rel.)	index
27.64	3.227	241	6 0 0
28.63	3.118	336	1 1 2
29.43	3.035	325	4 0 -2
30.05	2.973	957	5 1 -1
30.50	2.931	442	5 1 1
31.18	2.868	457	3 1 -2
31.48	2.842	1000	0 2 0
31.70	2.822	908	3 1 2
36.11	2.487	472	7 1 0
43.64	2.074	225	4 2 -2

=====

Theoretical powder diffraction line list
Compound: Ac2Pr5DyEr
Radiation: λ = 1.5418 Å (Cu Kα)
Structure: the GGA-PBE geometry in Alexandria

Cell lengths 5.6494, 22.7186, 10.5139 Å; angles 90.00, 90.00, 90.00 degrees
Space group Cmcm (No. 63)
One atom of each set of equivalent atoms:
Ac: 0.0000 0.1160 0.0116 [8 per cell]
Pr: 0.0000 0.0032 0.7500 [4 per cell]
Pr: 0.0000 0.2783 0.0610 [8 per cell]
Pr: 0.0000 0.3776 0.7500 [4 per cell]
Pr: 0.0000 0.5000 0.0000 [4 per cell]
Dy: 0.0000 0.3972 0.2500 [4 per cell]
Er: 0.0000 0.2170 0.7500 [4 per cell]

The 10 most intense peaks (10 to 90 degrees two-theta), in order of rising 2θ:
2θ/deg	d/Å	I (rel.)	index
25.97	3.431	234	1 3 2
30.27	2.953	158	1 1 3
30.44	2.937	1000	1 5 2
31.50	2.840	126	0 8 0
31.68	2.825	323	2 0 0
34.11	2.628	171	0 0 4
47.24	1.924	139	2 0 4
55.66	1.651	193	3 5 2
57.93	1.592	220	1 13 2
76.56	1.244	96	4 0 4

=====

Theoretical powder diffraction line list
Compound: AcDy4ErS8
Radiation: λ = 1.5418 Å (Cu Kα)
Structure: the GGA-PBE geometry in Alexandria

Cell lengths 8.1605, 8.1605, 19.9402 Å; angles 90.00, 90.00, 120.00 degrees
Space group R3m (No. 160, hexagonal axes)
One atom of each set of equivalent atoms:
Ac: 0.0000 0.0000 0.0000 [3 per cell]
Dy: 0.0000 0.0000 0.2495 [3 per cell]
Dy: 0.0059 0.5030 0.1256 [9 per cell]
Er: 0.0000 0.0000 0.6230 [3 per cell]
S: 0.0000 0.0000 0.3809 [3 per cell]
S: 0.0000 0.0000 0.8596 [3 per cell]
S: 0.0421 0.5211 0.3793 [9 per cell]
S: 0.1762 0.3525 0.2071 [9 per cell]

The 10 most intense peaks (10 to 90 degrees two-theta), in order of rising 2θ:
2θ/deg	d/Å	I (rel.)	index
21.80	4.077	325	1 1 0
25.62	3.477	1000	0 1 5
26.78	3.329	128	2 0 2
31.02	2.883	124	0 2 4
38.24	2.354	150	3 0 0
40.65	2.219	454	1 2 5
44.44	2.038	536	2 0 8
51.98	1.759	113	3 1 5
61.77	1.502	187	4 1 3
81.80	1.177	128	4 2 8

=====

Theoretical powder diffraction line list
Compound: AcSm4DyEr2
Radiation: λ = 1.5418 Å (Cu Kα)
Structure: the GGA-PBE geometry in Alexandria

Cell lengths 5.9360, 5.9506, 7.7193 Å; angles 90.00, 90.00, 90.00 degrees
Space group Pmmm (No. 47)
One atom of each set of equivalent atoms:
Ac: 0.0000 0.0000 0.0000 [1 per cell]
Sm: 0.0000 0.5000 0.2690 [2 per cell]
Sm: 0.5000 0.0000 0.2702 [2 per cell]
Dy: 0.5000 0.5000 0.5000 [1 per cell]
Er: 0.0000 0.0000 0.5000 [1 per cell]
Er: 0.5000 0.5000 0.0000 [1 per cell]

The 10 most intense peaks (10 to 90 degrees two-theta), in order of rising 2θ:
2θ/deg	d/Å	I (rel.)	index
30.07	2.972	579	2 0 0
31.47	2.843	1000	1 1 2
43.05	2.101	219	2 2 0
47.09	1.930	76	0 0 4
54.29	1.690	434	3 1 2
56.89	1.618	173	2 0 4
65.69	1.421	113	2 2 4
71.67	1.317	95	3 3 2
77.61	1.230	62	1 1 6
87.29	1.117	58	1 5 2